No. 1
Starting from DFT lattice parameters and positions (PBE), the powder diffraction line list of Tm5BiRu2 was simulated for λ = 1.5418 Å (Cu Kα).

Main lines, by angle (2θ from 10° to 80°):
d = 3.320 Å, 26.9 deg, I = 21; d = 2.895 Å, 30.9 deg, I = 48; d = 2.739 Å, 32.7 deg, I = 100; d = 2.705 Å, 33.1 deg, I = 18; d = 2.552 Å, 35.2 deg, I = 45; d = 2.419 Å, 37.2 deg, I = 86; d = 2.139 Å, 42.2 deg, I = 35; d = 1.712 Å, 53.5 deg, I = 30; d = 1.596 Å, 57.8 deg, I = 24; d = 1.398 Å, 66.9 deg, I = 30

Structure:
a b c (Å): 8.7317 8.7317 8.7317
angles (deg): 128.04 128.04 76.57
Element x y z (fractional)
1 Tm 0.0000 0.0000 0.0000
2 Tm 0.0257 0.5257 0.8105
3 Tm 0.2153 0.0257 0.5000
4 Tm 0.2847 0.7847 0.8105
5 Tm 0.4743 0.2847 0.5000
6 Tm 0.5000 0.5000 0.0000
7 Tm 0.5257 0.7153 0.5000
8 Tm 0.7153 0.2153 0.1895
9 Tm 0.7847 0.9743 0.5000
10 Tm 0.9743 0.4743 0.1895
11 Bi 0.2500 0.2500 0.0000
12 Bi 0.7500 0.7500 0.0000
13 Ru 0.1418 0.3582 0.5000
14 Ru 0.3582 0.8582 0.2164
15 Ru 0.6418 0.1418 0.7836
16 Ru 0.8582 0.6418 0.5000

No. 2
Starting from DFT lattice parameters and positions (PBE), the powder diffraction line list of Dy6Te3Pt2Au was simulated for λ = 1.5418 Å (Cu Kα).

Main lines, by angle (2θ from 10° to 80°):
d = 7.355 Å, 12.0 deg, I = 12; d = 3.015 Å, 29.6 deg, I = 100; d = 2.189 Å, 41.2 deg, I = 37; d = 2.078 Å, 43.5 deg, I = 36; d = 1.711 Å, 53.6 deg, I = 19; d = 1.507 Å, 61.5 deg, I = 11; d = 1.377 Å, 68.1 deg, I = 13; d = 1.321 Å, 71.4 deg, I = 16; d = 1.220 Å, 78.4 deg, I = 12; d = 1.200 Å, 79.9 deg, I = 10

Structure:
a b c (Å): 7.2005 7.2005 7.7357
angles (deg): 98.91 98.91 120.01
Element x y z (fractional)
1 Dy 0.0798 0.4270 0.7819
2 Dy 0.2237 0.2237 0.2142
3 Dy 0.4270 0.0798 0.7819
4 Dy 0.5730 0.9202 0.2181
5 Dy 0.7763 0.7763 0.7858
6 Dy 0.9202 0.5730 0.2181
7 Te 0.0000 0.0000 0.5000
8 Te 0.3378 0.6622 0.5000
9 Te 0.6622 0.3378 0.5000
10 Pt 0.1677 0.8323 0.0000
11 Pt 0.8323 0.1677 0.0000
12 Au 0.5000 0.5000 0.0000

No. 3
Starting from DFT lattice parameters and positions (PBE), the powder diffraction line list of Mg4NiHg was simulated for λ = 1.5418 Å (Cu Kα).

Main lines, by angle (2θ from 10° to 80°):
d = 4.612 Å, 19.2 deg, I = 87; d = 3.847 Å, 23.1 deg, I = 100; d = 3.720 Å, 23.9 deg, I = 73; d = 3.577 Å, 24.9 deg, I = 74; d = 3.122 Å, 28.6 deg, I = 62; d = 2.546 Å, 35.3 deg, I = 47; d = 2.377 Å, 37.9 deg, I = 71; d = 2.325 Å, 38.7 deg, I = 43; d = 2.212 Å, 40.8 deg, I = 47; d = 2.195 Å, 41.1 deg, I = 47

Structure:
a b c (Å): 7.2887 7.2887 5.2638
angles (deg): 100.72 100.72 114.19
Element x y z (fractional)
1 Mg 0.0640 0.7193 0.9409
2 Mg 0.2062 0.3619 0.6475
3 Mg 0.2807 0.9360 0.5591
4 Mg 0.3619 0.2062 0.1475
5 Mg 0.6381 0.7938 0.8525
6 Mg 0.7193 0.0640 0.4409
7 Mg 0.7938 0.6381 0.3525
8 Mg 0.9360 0.2807 0.0591
9 Ni 0.0021 0.9979 0.7500
10 Ni 0.9979 0.0021 0.2500
11 Hg 0.3728 0.6272 0.2500
12 Hg 0.6272 0.3728 0.7500

No. 4
Starting from DFT lattice parameters and positions (PBE), the powder diffraction line list of Tb4PS3 was simulated for λ = 1.5418 Å (Cu Kα).

Main lines, by angle (2θ from 10° to 80°):
d = 3.225 Å, 27.7 deg, I = 82; d = 2.793 Å, 32.0 deg, I = 100; d = 1.975 Å, 46.0 deg, I = 72; d = 1.684 Å, 54.5 deg, I = 40; d = 1.612 Å, 57.1 deg, I = 25; d = 1.396 Å, 67.0 deg, I = 12; d = 1.281 Å, 74.0 deg, I = 16; d = 1.249 Å, 76.2 deg, I = 32

Structure:
a b c (Å): 5.5857 5.5857 5.5857
angles (deg): 90.00 90.00 90.00
Element x y z (fractional)
1 Tb 0.0000 0.0000 0.0000
2 Tb 0.0000 0.5000 0.5000
3 Tb 0.5000 0.0000 0.5000
4 Tb 0.5000 0.5000 0.0000
5 P 0.5000 0.5000 0.5000
6 S 0.0000 0.0000 0.5000
7 S 0.0000 0.5000 0.0000
8 S 0.5000 0.0000 0.0000

No. 5
Starting from DFT lattice parameters and positions (PBE), the powder diffraction line list of MgNi6Ge6 was simulated for λ = 1.5418 Å (Cu Kα).

Main lines, by angle (2θ from 10° to 80°):
d = 4.409 Å, 20.1 deg, I = 16; d = 2.546 Å, 35.3 deg, I = 42; d = 2.205 Å, 40.9 deg, I = 40; d = 2.141 Å, 42.2 deg, I = 65; d = 1.978 Å, 45.9 deg, I = 21; d = 1.926 Å, 47.2 deg, I = 100; d = 1.804 Å, 50.6 deg, I = 30; d = 1.378 Å, 68.1 deg, I = 15; d = 1.274 Å, 74.5 deg, I = 27; d = 1.272 Å, 74.6 deg, I = 18

Structure:
a b c (Å): 6.4458 6.4458 6.4458
angles (deg): 133.44 104.30 93.75
Element x y z (fractional)
1 Mg 0.0000 0.0000 0.0000
2 Ni 0.0000 0.0000 0.5000
3 Ni 0.0000 0.5000 0.0000
4 Ni 0.2544 0.5000 0.7544
5 Ni 0.5000 0.0000 0.0000
6 Ni 0.5000 0.5000 0.5000
7 Ni 0.7456 0.5000 0.2456
8 Ge 0.1653 0.6653 0.5000
9 Ge 0.3328 0.3328 0.0000
10 Ge 0.3405 0.0000 0.3405
11 Ge 0.6595 0.0000 0.6595
12 Ge 0.6672 0.6672 0.0000
13 Ge 0.8347 0.3347 0.5000

No. 6
Starting from DFT lattice parameters and positions (PBE), the powder diffraction line list of CaAlS2 was simulated for λ = 1.5418 Å (Cu Kα).

Main lines, by angle (2θ from 10° to 80°):
d = 3.562 Å, 25.0 deg, I = 38; d = 3.497 Å, 25.5 deg, I = 40; d = 3.138 Å, 28.4 deg, I = 100; d = 2.399 Å, 37.5 deg, I = 46; d = 2.341 Å, 38.4 deg, I = 16; d = 2.214 Å, 40.8 deg, I = 14; d = 1.990 Å, 45.6 deg, I = 20; d = 1.966 Å, 46.2 deg, I = 32; d = 1.916 Å, 47.4 deg, I = 21; d = 1.895 Å, 48.0 deg, I = 21

Structure:
a b c (Å): 4.7980 7.8629 7.0170
angles (deg): 90.00 132.06 90.00
Element x y z (fractional)
1 Ca 0.0000 0.1790 0.0000
2 Ca 0.0000 0.8210 0.5000
3 Al 0.9389 0.3884 0.4536
4 Al 0.9389 0.6116 0.9536
5 S 0.5781 0.4120 0.5928
6 S 0.5781 0.5880 0.0928
7 S 0.7383 0.1290 0.2432
8 S 0.7383 0.8710 0.7432

No. 7
Starting from DFT lattice parameters and positions (PBE), the powder diffraction line list of Er12TlRh6 was simulated for λ = 1.5418 Å (Cu Kα).

Main lines, by angle (2θ from 10° to 80°):
d = 3.097 Å, 28.8 deg, I = 19; d = 2.827 Å, 31.6 deg, I = 35; d = 2.617 Å, 34.3 deg, I = 100; d = 2.448 Å, 36.7 deg, I = 18; d = 2.308 Å, 39.0 deg, I = 11; d = 1.921 Å, 47.3 deg, I = 22; d = 1.680 Å, 54.6 deg, I = 23; d = 1.632 Å, 56.4 deg, I = 13; d = 1.589 Å, 58.1 deg, I = 32; d = 1.385 Å, 67.6 deg, I = 18

Structure:
a b c (Å): 8.4816 8.4816 8.4816
angles (deg): 109.47 109.47 109.47
Element x y z (fractional)
1 Er 0.1094 0.2993 0.8101
2 Er 0.1899 0.4892 0.2993
3 Er 0.1899 0.8906 0.7007
4 Er 0.2993 0.1899 0.4892
5 Er 0.2993 0.8101 0.1094
6 Er 0.4892 0.2993 0.1899
7 Er 0.5108 0.7007 0.8101
8 Er 0.7007 0.1899 0.8906
9 Er 0.7007 0.8101 0.5108
10 Er 0.8101 0.1094 0.2993
11 Er 0.8101 0.5108 0.7007
12 Er 0.8906 0.7007 0.1899
13 Tl 0.0000 0.0000 0.0000
14 Rh 0.1301 0.5000 0.6301
15 Rh 0.3699 0.8699 0.5000
16 Rh 0.5000 0.3699 0.8699
17 Rh 0.5000 0.6301 0.1301
18 Rh 0.6301 0.1301 0.5000
19 Rh 0.8699 0.5000 0.3699

No. 8
Starting from DFT lattice parameters and positions (PBE), the powder diffraction line list of MgUZn11 was simulated for λ = 1.5418 Å (Cu Kα).

Main lines, by angle (2θ from 10° to 80°):
d = 6.359 Å, 13.9 deg, I = 17; d = 4.582 Å, 19.4 deg, I = 16; d = 3.210 Å, 27.8 deg, I = 19; d = 3.185 Å, 28.0 deg, I = 21; d = 2.670 Å, 33.6 deg, I = 23; d = 2.599 Å, 34.5 deg, I = 57; d = 2.291 Å, 39.3 deg, I = 66; d = 2.259 Å, 39.9 deg, I = 53; d = 2.233 Å, 40.4 deg, I = 100; d = 1.299 Å, 72.8 deg, I = 31

Structure:
a b c (Å): 6.8117 6.8117 6.8966
angles (deg): 98.72 98.72 133.85
Element x y z (fractional)
1 Mg 0.0000 0.0000 0.0000
2 U 0.0000 0.0000 0.5000
3 Zn 0.0000 0.5000 0.5000
4 Zn 0.0042 0.3612 0.8494
5 Zn 0.2914 0.5079 0.2892
6 Zn 0.3612 0.0042 0.8494
7 Zn 0.4921 0.7086 0.7108
8 Zn 0.5000 0.0000 0.5000
9 Zn 0.5000 0.5000 0.0000
10 Zn 0.5079 0.2914 0.2892
11 Zn 0.6388 0.9958 0.1506
12 Zn 0.7086 0.4921 0.7108
13 Zn 0.9958 0.6388 0.1506